# 1
# HfMgPb
Simulated powder X-ray diffraction pattern, λ = 1.5418 Å (Cu Kα). Input: the GGA-PBE geometry in Alexandria.

Most intense lines, 10° ≤ 2θ ≤ 90°, by angle:
2θ (°)  d/Å  I (rel.)
11.55  7.665  51.5
31.23  2.864  24.5
31.78  2.815  22.5
35.12  2.555  23.4
35.94  2.498  100.0
67.47  1.388  21.6

Structural model:
Unit cell a=3.3073 b=3.3073 c=15.3296 alpha=90.00 beta=90.00 gamma=120.00
Space group P-6m2 (No. 187)
One atom of each set of equivalent atoms:
Hf 0.0000 0.0000 0.1697 [2 per cell]
Mg 0.0000 0.0000 0.5000 [1 per cell]
Mg 0.6667 0.3333 0.0000 [1 per cell]
Pb 0.6667 0.3333 0.3353 [2 per cell]

---

# 2
# HfMgPd4
Simulated powder X-ray diffraction pattern, λ = 1.5418 Å (Cu Kα). Input: the GGA-PBE geometry in Alexandria.

Most intense lines, 10° ≤ 2θ ≤ 90°, by angle:
2θ (°)  d/Å  I (rel.)
15.43  5.742  26.0
38.60  2.333  100.0
39.10  2.304  95.3
41.98  2.152  38.8
42.76  2.115  37.0
75.15  1.264  28.2

Structural model:
Unit cell a=9.5121 b=3.6224 c=6.0993 alpha=90.00 beta=109.70 gamma=90.00
Space group C2/m (No. 12)
One atom of each set of equivalent atoms:
Hf 0.0000 0.0000 0.0000 [2 per cell]
Mg 0.0000 0.0000 0.5000 [2 per cell]
Pd 0.1574 0.5000 0.3307 [4 per cell]
Pd 0.1630 0.5000 0.8307 [4 per cell]